Starting from a structure optimized by DFT (PBE+U), the X-ray diffraction stick pattern of Na2PrCrF8 was calculated for Cu Kα.
Kinematic intensities with the Lorentz-polarization factor, no thermal factor.

Structural model:
```
Na2PrCrF8
1.0
4.320 0.000 0.000
0.000 7.148 0.000
-0.208 0.000 5.454
Na Pr Cr F
2 1 1 8
Direct
0.000 0.228 0.000 Na
0.000 0.772 0.000 Na
0.500 0.500 0.500 Pr
0.500 0.000 0.500 Cr
0.046 0.500 0.255 F
0.142 0.000 0.280 F
0.387 0.216 0.712 F
0.387 0.784 0.712 F
0.613 0.216 0.288 F
0.613 0.784 0.288 F
0.858 0.000 0.720 F
0.954 0.500 0.745 F
```

Principal peaks in the range 2θ from 15° to 90°, low angle first:
2θ/deg  intensity  (hkl)
16.25  100  0 0 1
20.54  64  1 0 0
25.83  64  1 0 -1
26.82  67  1 0 1
29.89  81  0 2 1
46.29  63  1 2 -2



Starting from a structure optimized by DFT (PBE+U), the X-ray diffraction stick pattern of BaV2P2O10 was calculated for Cu Kα.
Kinematic intensities with the Lorentz-polarization factor, no thermal factor.

Structural model:
```
BaV2P2O10
1.0
5.297 0.000 0.000
0.000 9.351 0.000
-0.798 0.000 16.555
Ba V P O
4 8 8 40
Direct
0.002 0.203 0.319 Ba
0.002 0.297 0.819 Ba
0.998 0.703 0.181 Ba
0.998 0.797 0.681 Ba
0.127 0.186 0.565 V
0.127 0.314 0.065 V
0.462 0.547 0.343 V
0.462 0.953 0.843 V
0.538 0.047 0.157 V
0.538 0.453 0.657 V
0.873 0.686 0.935 V
0.873 0.814 0.435 V
0.376 0.597 0.829 P
0.376 0.903 0.329 P
0.385 0.702 0.524 P
0.385 0.798 0.024 P
0.615 0.202 0.976 P
0.615 0.298 0.476 P
0.624 0.097 0.671 P
0.624 0.403 0.171 P
0.133 0.573 0.877 O
0.133 0.927 0.377 O
0.148 0.697 0.023 O
0.148 0.803 0.523 O
0.179 0.167 0.118 O
0.179 0.333 0.618 O
0.198 0.028 0.804 O
0.198 0.472 0.304 O
0.344 0.013 0.259 O
0.344 0.487 0.759 O
0.357 0.603 0.451 O
0.357 0.897 0.951 O
0.359 0.216 0.474 O
0.359 0.284 0.974 O
0.370 0.625 0.607 O
0.370 0.875 0.107 O
0.380 0.060 0.620 O
0.380 0.440 0.120 O
0.384 0.749 0.295 O
0.384 0.751 0.795 O
0.616 0.249 0.205 O
0.616 0.251 0.705 O
0.620 0.560 0.880 O
0.620 0.940 0.380 O
0.630 0.125 0.893 O
0.630 0.375 0.393 O
0.641 0.716 0.026 O
0.641 0.784 0.526 O
0.643 0.103 0.049 O
0.643 0.397 0.549 O
0.656 0.513 0.241 O
0.656 0.987 0.741 O
0.802 0.528 0.696 O
0.802 0.972 0.196 O
0.821 0.667 0.382 O
0.821 0.833 0.882 O
0.852 0.197 0.477 O
0.852 0.303 0.977 O
0.867 0.073 0.623 O
0.867 0.427 0.123 O
```

Principal peaks in the range 2θ from 15° to 90°, low angle first:
2θ/deg  intensity  (hkl)
21.69  34  1 1 -2
25.42  68  1 2 0
27.98  53  1 2 2
28.38  100  1 1 -4
29.62  59  1 1 4
30.65  42  0 3 2